1.
The following is a theoretical X-ray powder pattern of Zr4AlNi2. It was derived from a DFT-relaxed cell (GGA-PBE, OQMD), using a wavelength of 1.5418 Å.
Neutral-atom scattering factors, no anomalous dispersion.

Structural model:
```
Zr4AlNi2
1.0
0.0000 6.5504 6.5504
6.5504 0.0000 6.5504
6.5504 6.5504 0.0000
Zr Al Ni
16 4 8
direct
0.0000 0.0000 0.0000
0.0000 0.0000 0.5000
0.0000 0.5000 0.0000
0.1494 0.1494 0.6006
0.1494 0.6006 0.1494
0.1494 0.6006 0.6006
0.3994 0.3994 0.8506
0.3994 0.8506 0.3994
0.3994 0.8506 0.8506
0.5000 0.0000 0.0000
0.6006 0.1494 0.1494
0.6006 0.1494 0.6006
0.6006 0.6006 0.1494
0.8506 0.3994 0.3994
0.8506 0.3994 0.8506
0.8506 0.8506 0.3994
0.0000 0.5000 0.5000
0.5000 0.0000 0.5000
0.5000 0.5000 0.0000
0.5000 0.5000 0.5000
0.1031 0.7990 0.7990
0.2010 0.2010 0.2010
0.2010 0.2010 0.8969
0.2010 0.8969 0.2010
0.7990 0.1031 0.7990
0.7990 0.7990 0.1031
0.7990 0.7990 0.7990
0.8969 0.2010 0.2010
```

Top 12 peaks for 15° ≤ 2θ ≤ 90°, by angle:
d_spacing	I/Imax
3.275	8.9
2.674	28.3
2.521	61.1
2.316	100.0
2.183	10.4
2.071	15.3
1.975	17.5
1.544	13.9
1.337	19.6
1.317	12.9
1.158	8.8
1.145	9.1

***

2.
The following is a theoretical X-ray powder pattern of Ni7Ge. It was derived from a DFT-relaxed cell (GGA-PBE, OQMD), using a wavelength of 1.5418 Å.
Neutral-atom scattering factors, no anomalous dispersion.

Structural model:
```
Ni7Ge
1.0
2.5461 0.0000 0.0000
0.0000 2.5461 0.0000
0.0000 0.0000 39.8796
Ni Ge
14 2
direct
0.2500 0.2500 0.0212
0.2500 0.2500 0.1058
0.2500 0.2500 0.1903
0.2500 0.2500 0.2764
0.2500 0.2500 0.7670
0.2500 0.2500 0.8519
0.2500 0.2500 0.9365
0.7500 0.7500 0.0635
0.7500 0.7500 0.1481
0.7500 0.7500 0.2330
0.7500 0.7500 0.7236
0.7500 0.7500 0.8097
0.7500 0.7500 0.8942
0.7500 0.7500 0.9788
0.2500 0.2500 0.6776
0.7500 0.7500 0.3224
```

Top 12 peaks for 15° ≤ 2θ ≤ 90°, by angle:
d_spacing	I/Imax
2.267	4.3
2.146	5.5
2.084	47.7
2.021	100.0
1.899	3.1
1.800	49.5
1.793	3.5
1.734	11.4
1.662	9.0
1.273	14.4
1.249	14.1
1.221	11.8

***

3.
The following is a theoretical X-ray powder pattern of Rb2Cu2TeS. It was derived from a DFT-relaxed cell (GGA-PBE, OQMD), using a wavelength of 1.5418 Å.
Neutral-atom scattering factors, no anomalous dispersion.

Structural model:
```
Rb2Cu2TeS
1.0
5.1377 0.0000 0.0000
0.0000 2.6475 7.6602
0.0000 -2.6475 7.6602
Rb Cu Te S
2 2 1 1
direct
0.0000 0.0000 0.0000
0.5000 0.2912 0.2912
0.2469 0.6638 0.6638
0.7531 0.6638 0.6638
0.5000 0.5272 0.5272
0.0000 0.7783 0.7783
```

Top 12 peaks for 15° ≤ 2θ ≤ 90°, by angle:
d_spacing	I/Imax
5.005	40.1
3.830	15.6
3.676	29.2
3.585	100.0
2.989	35.4
2.648	42.1
2.356	40.0
2.133	34.5
1.845	14.7
1.793	13.3
1.661	41.0
1.620	15.5

***

4.
The following is a theoretical X-ray powder pattern of DyGa2Co3. It was derived from a DFT-relaxed cell (GGA-PBE, OQMD), using a wavelength of 1.5418 Å.
Neutral-atom scattering factors, no anomalous dispersion.

Structural model:
```
DyGa2Co3
1.0
8.9431 0.0000 0.0000
-4.4716 7.7450 0.0000
0.0000 0.0000 3.8404
Dy Ga Co
3 6 9
direct
0.0000 0.0000 0.0000
0.3333 0.6667 0.5000
0.6667 0.3333 0.5000
0.0000 0.3163 0.5000
0.0000 0.6837 0.5000
0.3163 0.0000 0.5000
0.3163 0.3163 0.5000
0.6837 0.0000 0.5000
0.6837 0.6837 0.5000
0.0000 0.5000 0.0000
0.1828 0.3657 0.0000
0.1828 0.8172 0.0000
0.3657 0.1828 0.0000
0.5000 0.0000 0.0000
0.5000 0.5000 0.0000
0.6343 0.8172 0.0000
0.8172 0.1828 0.0000
0.8172 0.6343 0.0000
```

Top 12 peaks for 15° ≤ 2θ ≤ 90°, by angle:
d_spacing	I/Imax
3.441	37.0
2.727	46.5
2.582	70.5
2.328	73.8
2.236	56.7
2.143	100.0
1.932	36.8
1.920	42.2
1.541	29.3
1.457	27.6
1.437	17.8
1.291	25.0

***

5.
The following is a theoretical X-ray powder pattern of LaPrAu2. It was derived from a DFT-relaxed cell (GGA-PBE, OQMD), using a wavelength of 1.5418 Å.
Neutral-atom scattering factors, no anomalous dispersion.

Structural model:
```
LaPrAu2
1.0
4.8520 0.0000 0.0000
0.0000 5.9500 0.0000
0.0000 0.0000 7.5285
La Pr Au
2 2 4
direct
0.0000 0.1085 0.0000
0.0000 0.8915 0.5000
0.5000 0.3927 0.6316
0.5000 0.6073 0.1316
0.0000 0.3993 0.3581
0.0000 0.6007 0.8581
0.5000 0.1010 0.2748
0.5000 0.8990 0.7748
```

Top 12 peaks for 15° ≤ 2θ ≤ 90°, by angle:
d_spacing	I/Imax
4.668	26.7
2.974	66.9
2.767	37.3
2.660	100.0
2.426	49.1
2.403	94.9
2.312	20.6
1.824	22.1
1.794	21.3
1.487	17.1
1.442	36.2
1.397	30.4

***

6.
The following is a theoretical X-ray powder pattern of Ba3YOs2O9. It was derived from a DFT-relaxed cell (GGA-PBE, OQMD), using a wavelength of 1.5418 Å.
Neutral-atom scattering factors, no anomalous dispersion.

Structural model:
```
Ba3YOs2O9
1.0
5.9123 0.0000 0.0000
-2.9562 5.1202 0.0000
0.0000 0.0000 14.4805
Ba Y Os O
6 2 4 18
direct
0.0000 0.0000 0.2500
0.0000 0.0000 0.7500
0.3333 0.6667 0.0963
0.3333 0.6667 0.4037
0.6667 0.3333 0.5963
0.6667 0.3333 0.9037
0.0000 0.0000 0.0000
0.0000 0.0000 0.5000
0.3333 0.6667 0.6646
0.3333 0.6667 0.8354
0.6667 0.3333 0.1646
0.6667 0.3333 0.3354
0.0099 0.5050 0.7500
0.1760 0.3521 0.5884
0.1760 0.3521 0.9116
0.1760 0.8240 0.5884
0.1760 0.8240 0.9116
0.3521 0.1760 0.0884
0.3521 0.1760 0.4116
0.4950 0.5050 0.7500
0.4950 0.9901 0.7500
0.5050 0.0099 0.2500
0.5050 0.4950 0.2500
0.6479 0.8240 0.5884
0.6479 0.8240 0.9116
0.8240 0.1760 0.0884
0.8240 0.1760 0.4116
0.8240 0.6479 0.0884
0.8240 0.6479 0.4116
0.9901 0.4950 0.2500
```

Top 12 peaks for 15° ≤ 2θ ≤ 90°, by angle:
d_spacing	I/Imax
4.827	19.2
3.512	10.0
2.956	100.0
2.521	13.5
2.090	18.9
1.918	21.7
1.707	29.0
1.609	15.7
1.478	14.7
1.413	10.5
1.171	8.8
1.117	17.8

***

7.
The following is a theoretical X-ray powder pattern of Zn3PO4F3. It was derived from a DFT-relaxed cell (GGA-PBE, OQMD), using a wavelength of 1.5418 Å.
Neutral-atom scattering factors, no anomalous dispersion.

Structural model:
```
Zn3PO4F3
1.0
5.6698 3.2735 1.3382
-5.6698 3.2735 1.3382
0.0000 -6.5469 1.3382
Zn P O F
3 1 4 3
direct
0.1987 0.2562 0.5451
0.2562 0.5451 0.1987
0.5451 0.1987 0.2562
0.8906 0.8906 0.8906
0.2848 0.2848 0.2848
0.7245 0.9665 0.7442
0.7442 0.7245 0.9665
0.9665 0.7442 0.7245
0.2941 0.3522 0.9092
0.3522 0.9092 0.2941
0.9092 0.2941 0.3522
```

Top 12 peaks for 15° ≤ 2θ ≤ 90°, by angle:
d_spacing	I/Imax
5.670	81.1
3.716	45.7
3.273	100.0
3.108	43.9
2.725	62.0
2.143	22.2
1.966	45.6
1.890	27.8
1.766	23.5
1.685	21.6
1.615	34.5
1.573	20.0

***

8.
The following is a theoretical X-ray powder pattern of Tl3H2OsO6. It was derived from a DFT-relaxed cell (GGA-PBE, OQMD), using a wavelength of 1.5418 Å.
Neutral-atom scattering factors, no anomalous dispersion.

Structural model:
```
Tl3H2OsO6
1.0
6.4833 0.0000 0.0000
0.0000 9.2521 0.0000
-2.8059 0.0000 5.8923
Tl H Os O
6 4 2 12
direct
0.0255 0.0696 0.2513
0.0255 0.4304 0.2513
0.4292 0.2500 0.9896
0.5708 0.7500 0.0104
0.9745 0.5696 0.7487
0.9745 0.9304 0.7487
0.4901 0.5221 0.2805
0.4901 0.9779 0.2805
0.5099 0.0221 0.7195
0.5099 0.4779 0.7195
0.3289 0.7500 0.4033
0.6711 0.2500 0.5967
0.0398 0.7500 0.1829
0.3008 0.6051 0.5855
0.3008 0.8949 0.5855
0.3565 0.5848 0.1888
0.3565 0.9152 0.1888
0.3615 0.2500 0.4870
0.6385 0.7500 0.5130
0.6435 0.0848 0.8112
0.6435 0.4152 0.8112
0.6992 0.1051 0.4145
0.6992 0.3949 0.4145
0.9602 0.2500 0.8171
```

Top 12 peaks for 15° ≤ 2θ ≤ 90°, by angle:
d_spacing	I/Imax
3.630	72.1
3.252	100.0
3.052	40.2
2.732	35.9
2.690	39.0
2.485	30.6
2.364	24.6
1.950	14.8
1.824	15.1
1.771	14.8
1.763	16.7
1.737	14.5